Record 1
Rb2LiPuCl4O2: theoretical XRD peak list (Cu Kα X-rays), based on DFT lattice parameters and positions (PBE).
No peak broadening, texture or thermal motion is included.

Crystal structure
```
data_Rb2LiPuCl4O2
_chemical_formula_sum 'Rb2 Li1 Pu1 Cl4 O2'
_cell_length_a 7.111
_cell_length_b 7.111
_cell_length_c 6.005
_cell_angle_alpha 92.46
_cell_angle_beta 92.46
_cell_angle_gamma 63.71
_symmetry_space_group_name_H-M 'P 1'
_symmetry_Int_Tables_number 1
loop_
_symmetry_equiv_pos_as_xyz
'x,y,z'
loop_
_atom_site_label
_atom_site_fract_x
_atom_site_fract_y
_atom_site_fract_z
Rb1 0.155 0.155 0.276
Rb2 0.845 0.845 0.724
Li1 0.500 0.500 0.500
Pu1 0.500 0.500 0.000
Cl1 0.138 0.643 0.239
Cl2 0.357 0.862 0.761
Cl3 0.643 0.138 0.239
Cl4 0.862 0.357 0.761
O1 0.400 0.400 0.761
O2 0.600 0.600 0.239
```

Principal peaks in the range 10 to 90 degrees two-theta, by angle:
two_theta  I (rel.)
13.9  51
14.7  73
20.3  31
20.6  100
25.1  74
31.4  87
32.7  35
41.4  39

***

Record 2
Cu15Si4: theoretical XRD peak list (Cu Kα X-rays), based on DFT lattice parameters and positions (PBE).
No peak broadening, texture or thermal motion is included.

Crystal structure
```
data_Cu15Si4
_chemical_formula_sum 'Cu30 Si8'
_cell_length_a 8.404
_cell_length_b 8.404
_cell_length_c 8.404
_cell_angle_alpha 109.47
_cell_angle_beta 109.47
_cell_angle_gamma 109.47
_symmetry_space_group_name_H-M 'P 1'
_symmetry_Int_Tables_number 1
loop_
_symmetry_equiv_pos_as_xyz
'x,y,z'
loop_
_atom_site_label
_atom_site_fract_x
_atom_site_fract_y
_atom_site_fract_z
Cu1 0.050 0.926 0.701
Cu2 0.074 0.275 0.124
Cu3 0.124 0.074 0.275
Cu4 0.125 0.750 0.875
Cu5 0.151 0.876 0.450
Cu6 0.201 0.426 0.550
Cu7 0.225 0.299 0.849
Cu8 0.250 0.625 0.375
Cu9 0.275 0.124 0.074
Cu10 0.299 0.849 0.225
Cu11 0.349 0.799 0.725
Cu12 0.375 0.250 0.625
Cu13 0.376 0.651 0.950
Cu14 0.426 0.550 0.201
Cu15 0.450 0.151 0.876
Cu16 0.550 0.201 0.426
Cu17 0.574 0.624 0.775
Cu18 0.624 0.775 0.574
Cu19 0.625 0.375 0.250
Cu20 0.651 0.950 0.376
Cu21 0.701 0.050 0.926
Cu22 0.725 0.349 0.799
Cu23 0.750 0.875 0.125
Cu24 0.775 0.574 0.624
Cu25 0.799 0.725 0.349
Cu26 0.849 0.225 0.299
Cu27 0.875 0.125 0.750
Cu28 0.876 0.450 0.151
Cu29 0.926 0.701 0.050
Cu30 0.950 0.376 0.651
Si1 0.000 0.088 0.500
Si2 0.000 0.588 0.500
Si3 0.088 0.500 0.000
Si4 0.412 0.412 0.412
Si5 0.500 0.000 0.088
Si6 0.500 0.000 0.588
Si7 0.588 0.500 0.000
Si8 0.912 0.912 0.912
```

Principal peaks in the range 10 to 90 degrees two-theta, by angle:
two_theta  I (rel.)
34.6  21
43.8  100
45.8  14
47.8  57
69.9  11
71.4  9
77.4  18
86.2  16

***

Record 3
CePu4: theoretical XRD peak list (Cu Kα X-rays), based on DFT lattice parameters and positions (PBE).
No peak broadening, texture or thermal motion is included.

Crystal structure
```
data_CePu4
_chemical_formula_sum 'Ce3 Pu12'
_cell_length_a 3.291
_cell_length_b 3.291
_cell_length_c 39.693
_cell_angle_alpha 90.00
_cell_angle_beta 90.00
_cell_angle_gamma 120.00
_symmetry_space_group_name_H-M 'P 1'
_symmetry_Int_Tables_number 1
loop_
_symmetry_equiv_pos_as_xyz
'x,y,z'
loop_
_atom_site_label
_atom_site_fract_x
_atom_site_fract_y
_atom_site_fract_z
Ce1 0.000 0.000 0.000
Ce2 0.333 0.667 0.667
Ce3 0.667 0.333 0.333
Pu1 0.000 0.000 0.199
Pu2 0.000 0.000 0.403
Pu3 0.000 0.000 0.597
Pu4 0.000 0.000 0.801
Pu5 0.333 0.667 0.069
Pu6 0.333 0.667 0.264
Pu7 0.333 0.667 0.467
Pu8 0.333 0.667 0.866
Pu9 0.667 0.333 0.134
Pu10 0.667 0.333 0.533
Pu11 0.667 0.333 0.736
Pu12 0.667 0.333 0.931
```

Principal peaks in the range 10 to 90 degrees two-theta, by angle:
two_theta  I (rel.)
33.4  100
33.9  31
38.9  66
55.9  24
56.5  22
66.7  14
67.0  27
67.5  13